No. 1
Structure and theoretical XRD peak list of DyNbPt (DFT lattice parameters and positions (GGA-PBE); Cu Ka).
Intensities are scaled so that the largest is 100.

Top 6 peaks for 15 to 90 degrees two-theta, low angle first:
hkl	2θ (°)	I/Imax
1 3 0	31.67	28.6
1 3 1	35.98	84.5
0 4 1	36.96	43.5
2 0 0	40.27	100.0
2 4 1	55.85	26.8
1 3 3	61.66	25.2

Atomic structure:
a = 4.4725 Å, b = 10.9316 Å, c = 5.3312 Å
α = 90.00°, β = 90.00°, γ = 90.00°
Atoms (fractional coordinates):
Dy 0.0000 0.2056 0.2500
Dy 0.0000 0.7944 0.7500
Dy 0.5000 0.2944 0.7500
Dy 0.5000 0.7056 0.2500
Nb 0.0000 0.5000 0.0000
Nb 0.0000 0.5000 0.5000
Nb 0.5000 0.0000 0.0000
Nb 0.5000 0.0000 0.5000
Pt 0.0000 0.0812 0.7500
Pt 0.0000 0.9188 0.2500
Pt 0.5000 0.4188 0.2500
Pt 0.5000 0.5812 0.7500

---

No. 2
Structure and theoretical XRD peak list of Pm3In6Ni5 (DFT lattice parameters and positions (GGA-PBE); Cu Ka).
Intensities are scaled so that the largest is 100.

Top 6 peaks for 15 to 90 degrees two-theta, low angle first:
hkl	2θ (°)	I/Imax
1 3 2	34.18	100.0
0 3 3	34.63	35.7
1 0 3	34.83	63.9
1 2 3	37.37	36.5
0 6 0	40.32	42.2
2 0 0	40.89	55.3

Atomic structure:
a = 4.4138 Å, b = 13.4316 Å, c = 9.5264 Å
α = 90.00°, β = 90.00°, γ = 90.00°
Atoms (fractional coordinates):
Pm 0.2500 0.0487 0.2452
Pm 0.2500 0.4513 0.2452
Pm 0.2500 0.7500 0.2787
Pm 0.7500 0.2500 0.7213
Pm 0.7500 0.5487 0.7548
Pm 0.7500 0.9513 0.7548
In 0.2500 0.0711 0.5866
In 0.2500 0.2500 0.0317
In 0.2500 0.2500 0.4025
In 0.2500 0.4289 0.5866
In 0.2500 0.5978 0.9840
In 0.2500 0.9022 0.9840
In 0.7500 0.0978 0.0160
In 0.7500 0.4022 0.0160
In 0.7500 0.5711 0.4134
In 0.7500 0.7500 0.5975
In 0.7500 0.7500 0.9683
In 0.7500 0.9289 0.4134
Ni 0.2500 0.0910 0.8600
Ni 0.2500 0.4090 0.8600
Ni 0.2500 0.6388 0.5555
Ni 0.2500 0.7500 0.7776
Ni 0.2500 0.8612 0.5555
Ni 0.7500 0.1388 0.4445
Ni 0.7500 0.2500 0.2224
Ni 0.7500 0.3612 0.4445
Ni 0.7500 0.5910 0.1400
Ni 0.7500 0.9090 0.1400